# KRbSn2Cl6
Simulated X-ray powder pattern, CuKα. Input: a crystal structure in Alexandria, relaxed with PBE.
No peak broadening, texture or thermal motion is included.

Lattice parameters (Å, degrees): 9.8197 9.8197 9.5287 117.38 117.38 64.40
Atoms (fractional coordinates):
K1 0.1895 0.8105 0.7500
K2 0.8105 0.1895 0.2500
Rb1 0.3334 0.6666 0.2500
Rb2 0.6666 0.3334 0.7500
Sn1 0.2112 0.2628 0.1955
Sn2 0.2628 0.2112 0.6955
Sn3 0.7372 0.7888 0.3045
Sn4 0.7888 0.7372 0.8045
Cl1 0.0574 0.1794 0.7663
Cl2 0.0914 0.5930 0.8435
Cl3 0.1794 0.0574 0.2663
Cl4 0.2921 0.4696 0.4898
Cl5 0.4070 0.9086 0.6565
Cl6 0.4696 0.2921 0.9898
Cl7 0.5304 0.7079 0.0102
Cl8 0.5930 0.0914 0.3435
Cl9 0.7079 0.5304 0.5102
Cl10 0.8206 0.9426 0.7337
Cl11 0.9086 0.4070 0.1565
Cl12 0.9426 0.8206 0.2337

Principal peaks in the range 10° ≤ 2θ ≤ 90°, by intensity:
21.23°, rel. 100; 22.99°, rel. 89; 22.23°, rel. 75; 36.72°, rel. 69; 36.24°, rel. 39; 37.78°, rel. 38; 28.62°, rel. 36; 12.69°, rel. 35; 27.55°, rel. 35; 27.68°, rel. 35; 25.29°, rel. 33; 16.94°, rel. 33